Structure and simulated X-ray powder pattern of ErVIO4 (a cell relaxed with GGA+U; Cu Kα (λ = 1.5418 Å)).
Neutral-atom scattering factors, no anomalous dispersion.

Main lines, sorted by position (10 to 80 degrees two-theta):
two_theta, I_rel
17.86, 56
22.05, 34
26.80, 100
27.15, 34
27.68, 38
28.42, 73
32.39, 43
33.14, 29
33.77, 26
34.56, 23
39.71, 25
54.31, 31

Atomic structure:
```
14
Lattice="6.033 -3.140 0.000 6.033 3.140 0.000 -1.502 0.000 6.568" Properties=species:S:1:pos:R:3 pbc="T T T"
Er 1.934 0.000 2.232
Er 8.630 0.000 4.336
V 0.442 0.000 4.972
V 10.122 0.000 1.596
I 4.349 0.000 5.245
I 6.215 0.000 1.324
O -0.253 0.000 1.815
O 3.316 1.786 2.481
O 2.315 0.000 0.076
O 7.249 1.786 4.087
O 3.316 -1.786 2.481
O 8.249 0.000 6.493
O 7.249 -1.786 4.087
O 10.817 0.000 4.753
```